(1)
Starting from the PBE geometry in Alexandria, the X-ray diffraction stick pattern of DyScZn4 was simulated for Cu Ka.

Main lines, by angle (15 to 90 degrees two-theta):
- (0 1 1), 2θ = 17.52°, I = 33
- (1 1 0), 2θ = 24.01°, I = 17
- (1 1 2), 2θ = 34.05°, I = 33
- (1 2 1), 2θ = 35.24°, I = 100
- (0 2 2), 2θ = 35.47°, I = 45
- (2 0 0), 2θ = 41.00°, I = 37
- (0 3 1), 2θ = 41.21°, I = 19
- (1 0 3), 2θ = 41.61°, I = 62
- (2 2 2), 2θ = 55.31°, I = 24
- (1 3 4), 2θ = 68.13°, I = 14

Cell and atoms:
```
data_DyScZn4
_cell_length_a 4.403
_cell_length_b 6.872
_cell_length_c 7.483
_cell_angle_alpha 90.00
_cell_angle_beta 90.00
_cell_angle_gamma 90.00
_space_group_name_H-M_alt 'I m m 2'
_space_group_IT_number 44
loop_
_space_group_symop_operation_xyz
'x,y,z'
'-x,-y,z'
'-x,y,z'
'x,-y,z'
'x+1/2,y+1/2,z+1/2'
'-x+1/2,-y+1/2,z+1/2'
'-x+1/2,y+1/2,z+1/2'
'x+1/2,-y+1/2,z+1/2'
loop_
_atom_site_label
_atom_site_type_symbol
_atom_site_fract_x
_atom_site_fract_y
_atom_site_fract_z
Dy1 Dy 0.000 0.000 0.000
Sc1 Sc 0.000 0.500 0.943
Zn1 Zn 0.000 0.205 0.629
Zn2 Zn 0.000 0.293 0.298
```


(2)
Starting from the PBE geometry in Alexandria, the X-ray diffraction stick pattern of Dy6ZrSc was simulated for Cu Ka.

Main lines, by angle (15 to 90 degrees two-theta):
- (0 0 2), 2θ = 27.55°, I = 48
- (1 3 -1), 2θ = 30.93°, I = 64
- (2 2 0), 2θ = 31.96°, I = 100
- (0 4 0), 2θ = 32.02°, I = 31
- (1 3 -2), 2θ = 39.35°, I = 18
- (2 2 -2), 2θ = 42.68°, I = 27
- (1 5 1), 2θ = 45.11°, I = 25
- (3 5 -1), 2θ = 61.40°, I = 30
- (1 7 -1), 2θ = 61.47°, I = 20
- (2 2 4), 2θ = 66.79°, I = 19

Cell and atoms:
```
data_Dy6ZrSc
_cell_length_a 6.467
_cell_length_b 11.182
_cell_length_c 6.478
_cell_angle_alpha 90.00
_cell_angle_beta 90.17
_cell_angle_gamma 90.00
_space_group_name_H-M_alt 'C 1 2/m 1'
_space_group_IT_number 12
loop_
_space_group_symop_operation_xyz
'x,y,z'
'-x,-y,-z'
'-x,y,-z'
'x,-y,z'
'x+1/2,y+1/2,z'
'-x+1/2,-y+1/2,-z'
'-x+1/2,y+1/2,-z'
'x+1/2,-y+1/2,z'
loop_
_atom_site_label
_atom_site_type_symbol
_atom_site_fract_x
_atom_site_fract_y
_atom_site_fract_z
Dy1 Dy 0.068 0.000 0.252
Dy2 Dy 0.218 0.284 0.252
Zr1 Zr 0.000 0.500 0.500
Sc1 Sc 0.000 0.500 0.000
```


(3)
Starting from the PBE geometry in Alexandria, the X-ray diffraction stick pattern of DyZrSc4 was simulated for Cu Ka.

Main lines, by angle (15 to 90 degrees two-theta):
- (1 0 2), 2θ = 19.86°, I = 40
- (0 0 4), 2θ = 20.30°, I = 16
- (0 1 3), 2θ = 30.93°, I = 26
- (2 0 0), 2θ = 34.50°, I = 36
- (1 0 6), 2θ = 35.28°, I = 51
- (1 1 3), 2θ = 35.53°, I = 100
- (2 1 3), 2θ = 47.01°, I = 16
- (0 1 9), 2θ = 54.67°, I = 18
- (3 1 3), 2θ = 62.48°, I = 18
- (2 1 9), 2θ = 66.27°, I = 19

Cell and atoms:
```
data_DyZrSc4
_cell_length_a 5.199
_cell_length_b 3.328
_cell_length_c 17.500
_cell_angle_alpha 90.00
_cell_angle_beta 90.00
_cell_angle_gamma 90.00
_space_group_name_H-M_alt 'A m m 2'
_space_group_IT_number 38
loop_
_space_group_symop_operation_xyz
'x,y,z'
'-x,-y,z'
'-x,y,z'
'x,-y,z'
'x,y+1/2,z+1/2'
'-x,-y+1/2,z+1/2'
'-x,y+1/2,z+1/2'
'x,-y+1/2,z+1/2'
loop_
_atom_site_label
_atom_site_type_symbol
_atom_site_fract_x
_atom_site_fract_y
_atom_site_fract_z
Dy1 Dy 0.000 0.000 0.000
Zr1 Zr 0.500 0.000 0.778
Sc1 Sc 0.000 0.000 0.329
Sc2 Sc 0.000 0.000 0.670
Sc3 Sc 0.500 0.000 0.117
Sc4 Sc 0.500 0.000 0.436
```


Q: Number 2 is which compound?
A: Dy6ZrSc


What did the second record say?
Starting from the PBE geometry in Alexandria, the X-ray diffraction stick pattern of Dy6ZrSc was simulated for Cu Ka.

Main lines, by angle (15 to 90 degrees two-theta):
- (0 0 2), 2θ = 27.55°, I = 48
- (1 3 -1), 2θ = 30.93°, I = 64
- (2 2 0), 2θ = 31.96°, I = 100
- (0 4 0), 2θ = 32.02°, I = 31
- (1 3 -2), 2θ = 39.35°, I = 18
- (2 2 -2), 2θ = 42.68°, I = 27
- (1 5 1), 2θ = 45.11°, I = 25
- (3 5 -1), 2θ = 61.40°, I = 30
- (1 7 -1), 2θ = 61.47°, I = 20
- (2 2 4), 2θ = 66.79°, I = 19

Cell and atoms:
```
data_Dy6ZrSc
_cell_length_a 6.467
_cell_length_b 11.182
_cell_length_c 6.478
_cell_angle_alpha 90.00
_cell_angle_beta 90.17
_cell_angle_gamma 90.00
_space_group_name_H-M_alt 'C 1 2/m 1'
_space_group_IT_number 12
loop_
_space_group_symop_operation_xyz
'x,y,z'
'-x,-y,-z'
'-x,y,-z'
'x,-y,z'
'x+1/2,y+1/2,z'
'-x+1/2,-y+1/2,-z'
'-x+1/2,y+1/2,-z'
'x+1/2,-y+1/2,z'
loop_
_atom_site_label
_atom_site_type_symbol
_atom_site_fract_x
_atom_site_fract_y
_atom_site_fract_z
Dy1 Dy 0.068 0.000 0.252
Dy2 Dy 0.218 0.284 0.252
Zr1 Zr 0.000 0.500 0.500
Sc1 Sc 0.000 0.500 0.000
```